1.
This entry pairs a crystal structure of Rb3La3TbSe8 with its theoretical X-ray powder pattern. Radiation: λ = 1.5418 Å (Cu Kα). Structure: a cell relaxed with GGA-PBE.

Structural model:
```
Rb3La3TbSe8
1.0
7.635 -4.404 0.000
7.635 4.404 0.000
-5.097 0.000 8.089
Rb La Tb Se
3 3 1 8
Cartesian
0.000 0.000 0.000
3.817 2.202 0.000
3.817 -2.202 0.000
1.269 2.202 4.044
1.269 -2.202 4.044
5.086 0.000 4.044
-2.548 0.000 4.044
-0.096 0.000 5.605
3.859 2.282 5.606
6.313 2.282 2.483
2.542 0.000 2.408
7.630 0.000 5.681
3.859 -2.282 5.606
6.313 -2.282 2.483
10.268 0.000 2.484
```

Largest 6 diffraction maxima, sorted by position, 5 to 70 degrees two-theta:
d = 8.089 Å, 2θ = 10.94°, I 393
d = 3.230 Å, 2θ = 27.62°, I 1000
d = 2.566 Å, 2θ = 34.97°, I 159
d = 2.375 Å, 2θ = 37.89°, I 322
d = 2.203 Å, 2θ = 40.97°, I 372
d = 1.820 Å, 2θ = 50.12°, I 187



2.
This entry pairs a crystal structure of ZrHg2Au with its theoretical X-ray powder pattern. Radiation: λ = 1.5418 Å (Cu Kα). Structure: a cell relaxed with GGA-PBE.

Structural model:
```
ZrHg2Au
1.0
3.232 0.000 0.000
0.000 3.298 0.000
0.000 0.000 8.036
Zr Hg Au
1 2 1
Cartesian
0.000 0.000 0.000
0.000 0.000 3.769
1.616 1.649 5.988
1.616 1.649 1.788
```

Largest 6 diffraction maxima, sorted by position, 5 to 70 degrees two-theta:
d = 2.549 Å, 2θ = 35.20°, I 1000
d = 2.518 Å, 2θ = 35.65°, I 967
d = 2.308 Å, 2θ = 39.02°, I 777
d = 1.515 Å, 2θ = 61.16°, I 378
d = 1.380 Å, 2θ = 67.95°, I 301
d = 1.365 Å, 2θ = 68.79°, I 290